Entry 1:
This entry pairs a crystal structure of Tb2CeHg6 with its computed XRD peak list. Radiation: Cu Kα, 1.54184 Å. Structure: a DFT-relaxed cell (PBE, Alexandria).

Main lines, by angle (10 to 90 degrees two-theta):
d 2.687, I = 98, (1 1 1)
d 2.507, I = 100, (3 0 0)
d 2.022, I = 22, (3 0 1)
d 1.833, I = 32, (2 2 1)
d 1.480, I = 32, (4 1 1)
d 1.413, I = 34, (3 0 2)

Structural model:
Lattice parameters (Å, degrees): 8.6855 8.6855 3.4195 90.00 90.00 120.00
Space group P6/mmm (No. 191)
Inequivalent atoms, fractional coordinates:
Tb: 0.3333 0.6667 0.0000
Ce: 0.0000 0.0000 0.0000
Hg: 0.0000 0.3354 0.5000

=====

Entry 2:
This entry pairs a crystal structure of CeThHg5 with its computed XRD peak list. Radiation: Cu Kα, 1.54184 Å. Structure: a DFT-relaxed cell (PBE, Alexandria).

Main lines, by angle (10 to 90 degrees two-theta):
d 5.230, I = 12, (1 0 0)
d 2.615, I = 52, (2 0 0)
d 2.583, I = 100, (1 1 2)
d 1.849, I = 19, (2 2 0)
d 1.504, I = 39, (3 1 2)
d 1.486, I = 18, (2 0 4)

Structural model:
Lattice parameters (Å, degrees): 5.230 5.230 7.222 90.00 90.00 90.00
Space group P4/mmm (No. 123)
Inequivalent atoms, fractional coordinates:
Ce: 0.000 0.000 0.000
Th: 0.500 0.500 0.500
Hg: 0.000 0.500 0.261
Hg: 0.500 0.500 0.000

=====

Entry 3:
This entry pairs a crystal structure of Ce6Tl5Hg with its computed XRD peak list. Radiation: Cu Kα, 1.54184 Å. Structure: a DFT-relaxed cell (PBE, Alexandria).

Main lines, by angle (10 to 90 degrees two-theta):
d 2.783, I = 100, (1 3 2)
d 2.448, I = 35, (2 0 0)
d 2.339, I = 15, (0 0 4)
d 1.691, I = 23, (2 0 4)
d 1.470, I = 29, (3 3 2)
d 1.422, I = 13, (1 3 6)

Structural model:
Lattice parameters (Å, degrees): 4.897 14.682 9.356 90.00 90.00 90.00
Space group Cmmm (No. 65)
Inequivalent atoms, fractional coordinates:
Ce: 0.000 0.000 0.247
Ce: 0.000 0.335 0.248
Tl: 0.000 0.167 0.000
Tl: 0.000 0.167 0.500
Tl: 0.000 0.500 0.500
Hg: 0.000 0.500 0.000

=====

Entry 4:
This entry pairs a crystal structure of CeTlHg3 with its computed XRD peak list. Radiation: Cu Kα, 1.54184 Å. Structure: a DFT-relaxed cell (PBE, Alexandria).

Main lines, by angle (10 to 90 degrees two-theta):
d 2.715, I = 87, (5 1 0)
d 2.713, I = 100, (3 1 -2)
d 2.634, I = 40, (2 0 2)
d 2.443, I = 41, (0 2 0)
d 1.791, I = 26, (2 2 2)
d 1.535, I = 23, (1 1 -4)

Structural model:
Lattice parameters (Å, degrees): 17.448 4.886 6.706 90.00 110.66 90.00
Space group C2/m (No. 12)
Inequivalent atoms, fractional coordinates:
Ce: 0.107 0.000 0.165
Tl: 0.186 0.500 0.555
Hg: 0.015 0.500 0.784
Hg: 0.087 0.000 0.653
Hg: 0.217 0.500 0.087

=====

Entry 5:
This entry pairs a crystal structure of Ce7Tl3Hg with its computed XRD peak list. Radiation: Cu Kα, 1.54184 Å. Structure: a DFT-relaxed cell (PBE, Alexandria).

Main lines, by angle (10 to 90 degrees two-theta):
d 2.857, I = 87, (2 0 -2)
d 2.766, I = 75, (0 4 0)
d 2.688, I = 100, (2 2 1)
d 2.521, I = 85, (4 2 -1)
d 1.987, I = 55, (2 4 -2)
d 1.656, I = 24, (0 2 3)

Structural model:
Lattice parameters (Å, degrees): 11.376 11.064 5.738 90.00 114.87 90.00
Space group C2/m (No. 12)
Inequivalent atoms, fractional coordinates:
Ce: 0.000 0.000 0.000
Ce: 0.186 0.252 0.653
Ce: 0.200 0.500 0.189
Tl: 0.000 0.279 0.000
Tl: 0.000 0.500 0.500
Hg: 0.000 0.000 0.500

=====

Entry 6:
This entry pairs a crystal structure of Ce2Tl2Hg3 with its computed XRD peak list. Radiation: Cu Kα, 1.54184 Å. Structure: a DFT-relaxed cell (PBE, Alexandria).

Main lines, by angle (10 to 90 degrees two-theta):
d 2.975, I = 100, (3 0 1)
d 2.716, I = 83, (2 2 2)
d 2.514, I = 93, (3 2 1)
d 2.352, I = 48, (4 0 0)
d 1.845, I = 42, (4 3 1)
d 1.418, I = 57, (6 2 2)

Structural model:
Lattice parameters (Å, degrees): 9.407 9.407 9.407 90.00 90.00 90.00
Space group I2_13 (No. 199)
Inequivalent atoms, fractional coordinates:
Ce: 0.011 0.011 0.011
Tl: 0.183 0.317 0.683
Hg: 0.000 0.250 0.261